# BaSrZr2O6
Computed powder diffraction line list, Cu Kα. Input: the GGA-PBE geometry in Alexandria.

Peak list (10 most intense, 2θ = 5–70°, sorted by position)
2θ 29.87, intensity 96.3, (0 2 1); 2θ 29.98, intensity 94.8, (2 0 1); 2θ 30.09, intensity 100.0, (2 2 0); 2θ 42.58, intensity 33.1, (0 0 2); 2θ 42.92, intensity 31.0, (0 4 0); 2θ 43.23, intensity 29.8, (4 0 0); 2θ 53.02, intensity 40.5, (2 2 2); 2θ 53.24, intensity 40.1, (2 4 1); 2θ 53.43, intensity 40.6, (4 2 1); 2θ 62.06, intensity 19.3, (0 4 2)

Structure:
```
data_BaSrZr2O6
_cell_length_a 8.371
_cell_length_b 8.428
_cell_length_c 4.246
_cell_angle_alpha 90.00
_cell_angle_beta 90.00
_cell_angle_gamma 90.00
_space_group_name_H-M_alt 'C m m m'
_space_group_IT_number 65
_space_group_name_Hall '-C 2 2'
loop_
_atom_site_label
_atom_site_type_symbol
_atom_site_fract_x
_atom_site_fract_y
_atom_site_fract_z
Ba1 Ba 0.000 0.000 0.000
Sr1 Sr 0.000 0.500 0.000
Zr1 Zr 0.250 0.250 0.500
O1 O 0.000 0.216 0.500
O2 O 0.210 0.500 0.500
O3 O 0.250 0.250 0.000
```